The following is a computed powder X-ray diffraction pattern of TeSeCl. It was derived from a DFT-relaxed cell (PBE, Alexandria), using a wavelength of 1.5418 Å.
Kinematic intensities with the Lorentz-polarization factor, no thermal factor.

Structural model:
a b c (Å): 4.0579 4.0579 5.3518
angles (deg): 90.00 90.00 90.00
Space group P4/mmm (No. 123)
Symmetry-distinct sites (fractional):
Te: 0.0000 0.0000 0.0000
Se: 0.5000 0.5000 0.0000
Cl: 0.0000 0.0000 0.5000

Largest 8 diffraction maxima, sorted by position, 2θ from 5° to 70°:
- 16.56 deg, I = 100, (0 0 1)
- 31.17 deg, I = 90, (1 1 0)
- 33.49 deg, I = 37, (0 0 2)
- 35.50 deg, I = 62, (1 1 1)
- 44.66 deg, I = 32, (2 0 0)
- 46.40 deg, I = 57, (1 1 2)
- 47.95 deg, I = 27, (2 0 1)
- 56.96 deg, I = 31, (2 0 2)